CsTeBr4: theoretical PXRD pattern (CuKα), based on a structure optimized by DFT (GGA-PBE).
Peak positions follow from Bragg's law for the DFT cell and can differ from measured ones.

Largest 10 diffraction maxima, low angle first, 2θ from 15° to 90°:
Position (°2θ)	Rel. int.
17.66	84
21.11	79
26.08	100
29.80	33
32.00	53
32.12	28
32.59	32
33.22	56
41.02	22
44.12	26

Cell and atoms:
```
data_CsTeBr4
_cell_length_a 10.267
_cell_length_b 14.804
_cell_length_c 8.212
_cell_angle_alpha 90.00
_cell_angle_beta 123.68
_cell_angle_gamma 90.00
_symmetry_space_group_name_H-M 'C 1 2/c 1'
_symmetry_Int_Tables_number 15
loop_
_symmetry_equiv_pos_as_xyz
'x,y,z'
'-x,-y,-z'
'-x,y,-z+1/2'
'x,-y,z+1/2'
'x+1/2,y+1/2,z'
'-x+1/2,-y+1/2,-z'
'-x+1/2,y+1/2,-z+1/2'
'x+1/2,-y+1/2,z+1/2'
loop_
_atom_site_label
_atom_site_type_symbol
_atom_site_fract_x
_atom_site_fract_y
_atom_site_fract_z
Cs1 Cs 0.000 0.125 0.250
Te1 Te 0.000 0.410 0.750
Br1 Br 0.152 0.278 0.695
Br2 Br 0.190 0.463 0.240
```